This entry pairs a crystal structure of OsPd3O6 with its computed powder diffraction line list. Radiation: Cu Kα (λ = 1.5418 Å). Structure: a crystal structure in Alexandria, relaxed with PBE.
Neutral-atom scattering factors, no anomalous dispersion.

Main lines, in order of falling intensity (2θ = 5–70°):
32.1°, I 100.0, hkl 1 1 -3
30.5°, I 94.9, hkl 1 1 1
35.0°, I 43.1, hkl 2 0 -2
20.0°, I 32.4, hkl 0 1 1
50.8°, I 32.0, hkl 2 0 2
61.8°, I 26.6, hkl 3 1 -5

Structural model:
a b c (Å): 5.141 5.039 10.422
angles (deg): 90.00 115.42 90.00
Atoms (fractional coordinates):
Os  0.000  0.000  0.000
Os  0.000  0.500  0.500
Pd  0.299  0.106  0.795
Pd  0.299  0.394  0.295
Pd  0.500  0.000  0.500
Pd  0.500  0.500  0.000
Pd  0.701  0.606  0.705
Pd  0.701  0.894  0.205
O  0.096  0.196  0.415
O  0.096  0.304  0.915
O  0.234  0.683  0.414
O  0.234  0.817  0.914
O  0.323  0.077  0.179
O  0.323  0.423  0.679
O  0.677  0.577  0.321
O  0.677  0.923  0.821
O  0.766  0.183  0.086
O  0.766  0.317  0.586
O  0.904  0.696  0.085
O  0.904  0.804  0.585